For Li13Co15O28, DFT lattice parameters and positions (PBE+U) gives the calculated X-ray diffraction stick pattern in this record (Cu Ka).
Intensities are scaled so that the largest is 100.

Principal peaks in the range 2θ from 10° to 90°, in order of rising 2θ:
18.34 deg, I 100; 35.71 deg, I 16; 35.82 deg, I 15; 37.45 deg, I 15; 43.22 deg, I 33; 43.45 deg, I 33; 43.87 deg, I 32; 62.92 deg, I 27

Unit cell a=7.7692 b=8.2559 c=8.8901 alpha=103.94 beta=104.98 gamma=104.54
Atoms (fractional coordinates):
Li 0.0000 0.0000 0.0000
Li 0.0700 0.7125 0.7865
Li 0.1447 0.4284 0.5727
Li 0.2165 0.1464 0.3574
Li 0.2823 0.8536 0.1398
Li 0.3543 0.5705 0.9277
Li 0.4284 0.2890 0.7152
Li 0.5716 0.7110 0.2848
Li 0.6457 0.4295 0.0723
Li 0.7177 0.1464 0.8602
Li 0.7835 0.8536 0.6426
Li 0.8553 0.5716 0.4273
Li 0.9300 0.2875 0.2135
Co 0.0000 0.5000 0.0000
Co 0.0716 0.2140 0.7872
Co 0.1468 0.9318 0.5767
Co 0.2123 0.6396 0.3531
Co 0.2881 0.3568 0.1403
Co 0.3590 0.0715 0.9339
Co 0.4339 0.7844 0.7135
Co 0.5000 0.0000 0.5000
Co 0.5000 0.5000 0.5000
Co 0.5661 0.2156 0.2865
Co 0.6410 0.9285 0.0661
Co 0.7119 0.6432 0.8597
Co 0.7877 0.3604 0.6469
Co 0.8532 0.0682 0.4233
Co 0.9284 0.7860 0.2128
O 0.0093 0.2661 0.9954
O 0.0604 0.4563 0.7971
O 0.0960 0.9764 0.7949
O 0.1323 0.1666 0.5748
O 0.1535 0.6926 0.5748
O 0.2211 0.4058 0.3504
O 0.2279 0.8900 0.3708
O 0.2654 0.5951 0.1358
O 0.2962 0.1144 0.1512
O 0.3569 0.3054 0.9398
O 0.3757 0.8425 0.9313
O 0.4298 0.0301 0.6989
O 0.4316 0.5417 0.7109
O 0.4951 0.7630 0.5023
O 0.5049 0.2370 0.4977
O 0.5684 0.4583 0.2891
O 0.5702 0.9699 0.3011
O 0.6243 0.1575 0.0687
O 0.6431 0.6946 0.0602
O 0.7038 0.8856 0.8488
O 0.7346 0.4049 0.8642
O 0.7721 0.1100 0.6292
O 0.7789 0.5942 0.6496
O 0.8465 0.3074 0.4252
O 0.8677 0.8334 0.4252
O 0.9040 0.0236 0.2051
O 0.9396 0.5437 0.2029
O 0.9907 0.7339 0.0046

For LiCo7O8, DFT lattice parameters and positions (PBE+U) gives the calculated X-ray diffraction stick pattern in this record (Cu Ka).
Intensities are scaled so that the largest is 100.

Principal peaks in the range 2θ from 10° to 90°, in order of rising 2θ:
18.07 deg, I 14; 20.90 deg, I 7; 35.00 deg, I 7; 36.61 deg, I 61; 42.53 deg, I 100; 61.72 deg, I 57; 73.95 deg, I 24; 77.84 deg, I 18

Unit cell a=6.0119 b=6.0119 c=6.0119 alpha=60.00 beta=60.00 gamma=60.00
Atoms (fractional coordinates):
Li 0.0000 0.0000 0.0000
Co 0.0000 0.0000 0.5000
Co 0.0000 0.5000 0.0000
Co 0.0000 0.5000 0.5000
Co 0.5000 0.0000 0.0000
Co 0.5000 0.0000 0.5000
Co 0.5000 0.5000 0.0000
Co 0.5000 0.5000 0.5000
O 0.2500 0.2500 0.2500
O 0.2525 0.2525 0.7475
O 0.2525 0.7475 0.2525
O 0.2525 0.7475 0.7475
O 0.7475 0.2525 0.2525
O 0.7475 0.2525 0.7475
O 0.7475 0.7475 0.2525
O 0.7500 0.7500 0.7500

For Li7Co2O6, DFT lattice parameters and positions (PBE+U) gives the calculated X-ray diffraction stick pattern in this record (Cu Ka).
Intensities are scaled so that the largest is 100.

Principal peaks in the range 2θ from 10° to 90°, in order of rising 2θ:
19.44 deg, I 100; 19.52 deg, I 26; 21.29 deg, I 24; 22.06 deg, I 28; 27.17 deg, I 93; 27.58 deg, I 42; 30.21 deg, I 27; 31.36 deg, I 28

Unit cell a=5.2541 b=5.5576 c=6.9797 alpha=108.26 beta=92.26 gamma=117.52
Atoms (fractional coordinates):
Li 0.0000 0.0000 0.0000
Li 0.0112 0.5011 0.0920
Li 0.0664 0.3731 0.3970
Li 0.2642 0.0002 0.4906
Li 0.5645 0.2223 0.1951
Li 0.7199 0.5071 0.5910
Li 0.8750 0.2134 0.7055
Co 0.3662 0.7214 0.8116
Co 0.6122 0.7364 0.3160
O 0.0136 0.6544 0.8632
O 0.2844 0.3656 0.1809
O 0.3068 0.3816 0.6369
O 0.6511 0.1001 0.4273
O 0.6922 0.0669 0.9196
O 0.9090 0.6379 0.3615

For Li3Co4O8, DFT lattice parameters and positions (PBE+U) gives the calculated X-ray diffraction stick pattern in this record (Cu Ka).
Intensities are scaled so that the largest is 100.

Principal peaks in the range 2θ from 10° to 90°, in order of rising 2θ:
18.10 deg, I 100; 36.37 deg, I 25; 36.48 deg, I 12; 37.97 deg, I 12; 43.69 deg, I 42; 43.87 deg, I 21; 47.71 deg, I 13; 62.75 deg, I 12

Unit cell a=5.9376 b=5.7891 c=8.2609 alpha=90.00 beta=92.05 gamma=90.00
Atoms (fractional coordinates):
Li 0.0000 0.0000 0.0000
Li 0.2481 0.2486 0.2485
Li 0.2481 0.7514 0.2485
Li 0.5000 0.5000 0.5000
Li 0.7519 0.2486 0.7515
Li 0.7519 0.7514 0.7515
Co 0.0000 0.0000 0.5000
Co 0.0000 0.5000 0.5000
Co 0.2521 0.2452 0.7533
Co 0.2521 0.7548 0.7533
Co 0.5000 0.0000 0.0000
Co 0.5000 0.5000 0.0000
Co 0.7479 0.2452 0.2467
Co 0.7479 0.7548 0.2467
O 0.0130 0.0000 0.7450
O 0.0149 0.5000 0.7284
O 0.2252 0.2637 0.5073
O 0.2252 0.7363 0.5073
O 0.2761 0.2417 0.9946
O 0.2761 0.7583 0.9946
O 0.4866 0.0000 0.7642
O 0.4899 0.5000 0.7691
O 0.5101 0.5000 0.2309
O 0.5134 0.0000 0.2358
O 0.7239 0.2417 0.0054
O 0.7239 0.7583 0.0054
O 0.7748 0.2637 0.4927
O 0.7748 0.7363 0.4927
O 0.9851 0.5000 0.2716
O 0.9870 0.0000 0.2550

For Li4Co5O12, DFT lattice parameters and positions (PBE+U) gives the calculated X-ray diffraction stick pattern in this record (Cu Ka).
Intensities are scaled so that the largest is 100.

Principal peaks in the range 2θ from 10° to 90°, in order of rising 2θ:
18.05 deg, I 100; 37.11 deg, I 10; 37.38 deg, I 18; 44.31 deg, I 18; 44.55 deg, I 34; 57.84 deg, I 10; 63.24 deg, I 9; 66.04 deg, I 9

Unit cell a=4.9129 b=8.4263 c=9.9671 alpha=90.00 beta=99.46 gamma=90.00
Atoms (fractional coordinates):
Li 0.0047 0.9995 0.2337
Li 0.0119 0.1482 0.7652
Li 0.2594 0.0000 0.0008
Li 0.4930 0.1747 0.2357
Li 0.5070 0.6747 0.7643
Li 0.7406 0.5000 0.9992
Li 0.9881 0.6482 0.2348
Li 0.9953 0.4995 0.7663
Co 0.2445 0.6767 0.0028
Co 0.2484 0.1689 0.5031
Co 0.2515 0.5003 0.4994
Co 0.2516 0.8352 0.5017
Co 0.2537 0.3378 0.0008
Co 0.7463 0.8378 0.9992
Co 0.7484 0.3352 0.4983
Co 0.7485 0.0003 0.5006
Co 0.7516 0.6689 0.4969
Co 0.7555 0.1767 0.9972
O 0.0980 0.8243 0.1105
O 0.1092 0.1893 0.1070
O 0.1096 0.0043 0.6002
O 0.1095 0.3350 0.6004
O 0.1197 0.6630 0.5997
O 0.1498 0.5127 0.1013
O 0.3526 0.5108 0.8936
O 0.3784 0.0076 0.3997
O 0.3823 0.3330 0.4033
O 0.3839 0.6672 0.4020
O 0.3880 0.1916 0.8981
O 0.3878 0.8200 0.8973
O 0.6122 0.3200 0.1027
O 0.6120 0.6916 0.1019
O 0.6161 0.1672 0.5980
O 0.6177 0.8330 0.5967
O 0.6216 0.5076 0.6003
O 0.6474 0.0108 0.1064
O 0.8502 0.0127 0.8987
O 0.8803 0.1630 0.4003
O 0.8904 0.5043 0.3998
O 0.8905 0.8350 0.3996
O 0.8908 0.6893 0.8930
O 0.9020 0.3243 0.8895

For Li2CoO3, DFT lattice parameters and positions (PBE+U) gives the calculated X-ray diffraction stick pattern in this record (Cu Ka).
Intensities are scaled so that the largest is 100.

Principal peaks in the range 2θ from 10° to 90°, in order of rising 2θ:
14.94 deg, I 29; 15.27 deg, I 26; 18.44 deg, I 100; 24.05 deg, I 21; 35.60 deg, I 28; 42.79 deg, I 72; 45.91 deg, I 27; 64.23 deg, I 16

Unit cell a=6.3144 b=6.3144 c=6.0055 alpha=104.46 beta=104.46 gamma=27.25
Atoms (fractional coordinates):
Li 0.0000 0.0000 0.0000
Li 0.0000 0.0000 0.5000
Li 0.3371 0.3371 0.6634
Li 0.6629 0.6629 0.3366
Co 0.3385 0.3385 0.1806
Co 0.6615 0.6615 0.8194
O 0.1692 0.1692 0.6065
O 0.1787 0.1787 0.0725
O 0.4850 0.4850 0.2380
O 0.5150 0.5150 0.7620
O 0.8213 0.8213 0.9275
O 0.8308 0.8308 0.3935